# 1
This entry pairs a crystal structure of Sc3Fe4Si2Ge2 with its simulated XRD peak list. Radiation: CuKα. Structure: a cell relaxed with PBE.
Kinematic intensities with the Lorentz-polarization factor, no thermal factor.

Structural model:
Cell: 3.8603 6.6692 12.8212 Å, 90.00 90.00 90.00°
Space group Immm (No. 71)
One atom of each set of equivalent atoms:
Sc1 0.0000 0.0000 0.0000 (multiplicity 2)
Sc2 0.0000 0.5000 0.1250 (multiplicity 4)
Fe1 0.0000 0.3098 0.3164 (multiplicity 8)
Si1 0.0000 0.0000 0.2221 (multiplicity 4)
Ge1 0.0000 0.1982 0.5000 (multiplicity 4)

Most intense lines, 2θ = 10–80°, sorted by position:
2θ/deg  intensity
24.08  25
30.16  17
36.28  100
38.94  52
42.31  59
46.02  43
47.09  43
49.40  33
50.76  45
67.95  24

# 2
This entry pairs a crystal structure of Gd3Mg3CdInHg with its simulated XRD peak list. Radiation: CuKα. Structure: a cell relaxed with PBE.
Kinematic intensities with the Lorentz-polarization factor, no thermal factor.

Structural model:
Cell: 7.5535 7.5535 4.6417 Å, 90.00 90.00 120.00°
Space group P-6 (No. 174)
One atom of each set of equivalent atoms:
Gd1 0.0030 0.4249 0.0000 (multiplicity 3)
Mg1 0.0036 0.7604 0.5000 (multiplicity 3)
Cd1 0.0000 0.0000 0.0000 (multiplicity 1)
In1 0.6667 0.3333 0.5000 (multiplicity 1)
Hg1 0.3333 0.6667 0.5000 (multiplicity 1)

Most intense lines, 2θ = 10–80°, sorted by position:
2θ/deg  intensity
13.54  24
23.54  42
30.51  75
33.52  100
36.34  19
38.80  26
41.39  46
54.26  30
58.04  16
65.33  38